For Ho3Ga3Co, the GGA-PBE geometry in Alexandria gives the theoretical XRD peak list in this record (Cu Kα X-rays).
Intensities are scaled so that the largest is 100.

Peak list (12 most intense, 2θ = 10–80°, sorted by position)
Position (°2θ)  I/Imax  h k l
26.75  24  2 0 -4
32.80  67  1 1 3
33.01  65  3 1 -1
33.29  100  1 1 -4
33.43  45  4 0 -2
37.68  39  3 1 -4
38.66  23  4 0 1
40.31  56  3 1 2
41.09  33  0 0 6
43.17  54  0 2 0
55.69  38  4 2 -2
64.77  28  7 1 -3

Structure:
```
data_Ho3Ga3Co
_chemical_formula_sum 'Ho12 Ga12 Co4'
_cell_length_a 10.730
_cell_length_b 4.191
_cell_length_c 14.038
_cell_angle_alpha 90.00
_cell_angle_beta 110.13
_cell_angle_gamma 90.00
_symmetry_space_group_name_H-M 'C 1 2/m 1'
_symmetry_Int_Tables_number 12
loop_
_symmetry_equiv_pos_as_xyz
'x,y,z'
'-x,-y,-z'
'-x,y,-z'
'x,-y,z'
'x+1/2,y+1/2,z'
'-x+1/2,-y+1/2,-z'
'-x+1/2,y+1/2,-z'
'x+1/2,-y+1/2,z'
loop_
_atom_site_label
_atom_site_type_symbol
_atom_site_fract_x
_atom_site_fract_y
_atom_site_fract_z
Ho1 Ho 0.031 0.000 0.385
Ho2 Ho 0.106 0.000 0.921
Ho3 Ho 0.243 0.000 0.238
Ga1 Ga 0.040 0.500 0.239
Ga2 Ga 0.111 0.500 0.077
Ga3 Ga 0.145 0.500 0.542
Co1 Co 0.244 0.500 0.405
```